No. 1
Starting from a PBE-relaxed structure, the XRD peak list of ErCu5Ag was computed for Cu Ka.

Crystal structure
Lattice parameters (Å, degrees): 8.1161 5.0237 10.3538 90.00 90.00 90.00
Space group Pnma (No. 62)
Symmetry-distinct sites (fractional):
Er: 0.2449 0.2500 0.0658
Cu: 0.0550 0.7500 0.1040
Cu: 0.0681 0.0028 0.3137
Cu: 0.0898 0.2500 0.5173
Cu: 0.1853 0.2500 0.7460
Ag: 0.1355 0.7500 0.8615

The 6 most intense peaks (2θ from 10° to 90°), by angle:
| two_theta | I_rel |
| --- | --- |
| 35.75 | 40.2 |
| 36.43 | 46.6 |
| 38.65 | 78.5 |
| 38.79 | 100.0 |
| 45.31 | 41.5 |
| 46.07 | 42.2 |

=====

No. 2
Starting from a PBE-relaxed structure, the XRD peak list of Er2CuAg3 was computed for Cu Ka.

Crystal structure
Lattice parameters (Å, degrees): 3.4238 4.6144 8.0243 90.00 90.00 90.00
Space group Pmm2 (No. 25)
Symmetry-distinct sites (fractional):
Er: 0.0000 0.0000 0.0000
Er: 0.0000 0.5000 0.4768
Cu: 0.5000 0.0000 0.3155
Ag: 0.5000 0.0000 0.6401
Ag: 0.5000 0.5000 0.1626
Ag: 0.5000 0.5000 0.8215

The 6 most intense peaks (2θ from 10° to 90°), by angle:
| two_theta | I_rel |
| --- | --- |
| 34.47 | 100.0 |
| 38.92 | 44.0 |
| 39.04 | 22.6 |
| 53.03 | 18.8 |
| 67.63 | 16.7 |
| 68.16 | 24.5 |

=====

No. 3
Starting from a PBE-relaxed structure, the XRD peak list of Er4GaCuAg2 was computed for Cu Ka.

Crystal structure
Lattice parameters (Å, degrees): 5.0247 5.0247 24.6695 90.00 90.00 120.00
Space group R-3m (No. 166, hexagonal axes)
Symmetry-distinct sites (fractional):
Er: 0.0000 0.0000 0.1223
Er: 0.0000 0.0000 0.3726
Ga: 0.0000 0.0000 0.5000
Cu: 0.0000 0.0000 0.0000
Ag: 0.0000 0.0000 0.2480

The 6 most intense peaks (2θ from 10° to 90°), by angle:
| two_theta | I_rel |
| --- | --- |
| 25.04 | 9.9 |
| 35.71 | 100.0 |
| 51.40 | 17.4 |
| 64.07 | 8.5 |
| 64.19 | 26.5 |
| 86.57 | 15.4 |

=====

No. 4
Starting from a PBE-relaxed structure, the XRD peak list of Er2Ga3Cu4Ag was computed for Cu Ka.

Crystal structure
Lattice parameters (Å, degrees): 4.0030 4.0030 10.8579 90.00 90.00 90.00
Space group P-4m2 (No. 115)
Symmetry-distinct sites (fractional):
Er: 0.0000 0.5000 0.2441
Ga: 0.0000 0.5000 0.8693
Ga: 0.5000 0.5000 0.5000
Cu: 0.0000 0.0000 0.0000
Cu: 0.0000 0.5000 0.6511
Cu: 0.5000 0.5000 0.0000
Ag: 0.0000 0.0000 0.5000

The 6 most intense peaks (2θ from 10° to 90°), by angle:
| two_theta | I_rel |
| --- | --- |
| 33.38 | 51.2 |
| 35.78 | 100.0 |
| 45.31 | 44.7 |
| 47.64 | 30.0 |
| 57.43 | 21.5 |
| 67.85 | 20.3 |

=====

No. 5
Starting from a PBE-relaxed structure, the XRD peak list of EuTmCuAg was computed for Cu Ka.

Crystal structure
Lattice parameters (Å, degrees): 7.2215 7.2215 7.2215 90.00 90.00 90.00
Space group F-43m (No. 216)
Symmetry-distinct sites (fractional):
Eu: 0.0000 0.0000 0.0000
Tm: 0.0000 0.0000 0.5000
Cu: 0.2500 0.2500 0.2500
Ag: 0.2500 0.2500 0.7500

The 6 most intense peaks (2θ from 10° to 90°), by angle:
| two_theta | I_rel |
| --- | --- |
| 24.66 | 9.1 |
| 35.15 | 100.0 |
| 50.56 | 17.5 |
| 63.06 | 35.5 |
| 74.30 | 10.9 |
| 84.93 | 15.6 |

=====

No. 6
Starting from a PBE-relaxed structure, the XRD peak list of CuAgF3 was computed for Cu Ka.

Crystal structure
Lattice parameters (Å, degrees): 3.9360 6.0953 5.9886 90.00 107.39 90.00
Space group P2_1/m (No. 11)
Symmetry-distinct sites (fractional):
Cu: 0.0055 0.2500 0.0145
Ag: 0.3061 0.2500 0.5790
F: 0.1184 0.5068 0.2539
F: 0.4984 0.7500 0.9947

The 6 most intense peaks (2θ from 10° to 90°), by angle:
| two_theta | I_rel |
| --- | --- |
| 27.90 | 91.6 |
| 28.30 | 100.0 |
| 29.30 | 92.7 |
| 43.41 | 81.8 |
| 44.09 | 58.1 |
| 46.15 | 54.1 |

=====

No. 7
Starting from a PBE-relaxed structure, the XRD peak list of CuAg2F6 was computed for Cu Ka.

Crystal structure
Lattice parameters (Å, degrees): 4.9739 4.9739 10.2311 90.00 90.00 90.00
Space group P4_2/mnm (No. 136)
Symmetry-distinct sites (fractional):
Cu: 0.0000 0.0000 0.0000
Ag: 0.0000 0.0000 0.3374
F: 0.1899 0.1899 0.1442
F: 0.2291 0.2291 0.5000

The 6 most intense peaks (2θ from 10° to 90°), by angle:
| two_theta | I_rel |
| --- | --- |
| 25.32 | 100.0 |
| 31.81 | 80.7 |
| 36.12 | 16.5 |
| 48.88 | 67.8 |
| 52.00 | 18.7 |
| 62.26 | 20.5 |

=====

No. 8
Starting from a PBE-relaxed structure, the XRD peak list of Cu3Ag5F12 was computed for Cu Ka.

Crystal structure
Lattice parameters (Å, degrees): 10.0081 10.0081 3.2109 90.00 90.00 120.00
Space group P-62m (No. 189)
Symmetry-distinct sites (fractional):
Cu: 0.0000 0.3407 0.0000
Ag: 0.0000 0.7210 0.5000
Ag: 0.3333 0.6667 0.5000
F: 0.0000 0.2063 0.5000
F: 0.0000 0.4708 0.5000
F: 0.2207 0.4437 0.0000

The 6 most intense peaks (2θ from 10° to 90°), by angle:
| two_theta | I_rel |
| --- | --- |
| 27.22 | 38.7 |
| 30.95 | 100.0 |
| 33.15 | 92.1 |
| 39.29 | 62.0 |
| 45.99 | 36.0 |
| 56.47 | 40.8 |